[1]
This entry pairs a crystal structure of AcSm4Co with its theoretical PXRD pattern. Radiation: Cu Kα (λ = 1.5418 Å). Structure: a crystal structure in Alexandria, relaxed with GGA-PBE.
No peak broadening, texture or thermal motion is included.

Peak list (8 most intense, 2θ from 10° to 90°, in order of rising 2θ)
2θ 28.5, rel. 87, hkl 1 1 2; 2θ 28.9, rel. 100, hkl 1 5 0; 2θ 30.4, rel. 68, hkl 0 4 2; 2θ 31.4, rel. 59, hkl 2 0 0; 2θ 37.6, rel. 24, hkl 0 6 2; 2θ 44.3, rel. 49, hkl 2 4 2; 2θ 53.3, rel. 21, hkl 1 9 2; 2θ 56.6, rel. 31, hkl 1 5 4

Crystal structure
```
data_AcSm4Co
_chemical_formula_sum 'Ac4 Sm16 Co4'
_space_group_name_H-M_alt 'C m c m'
_space_group_IT_number 63
_space_group_name_Hall '-C 2c 2'
_cell_length_a 5.696
_cell_length_b 18.408
_cell_length_c 7.642
_cell_angle_alpha 90.00
_cell_angle_beta 90.00
_cell_angle_gamma 90.00
loop_
_atom_site_label
_atom_site_fract_x
_atom_site_fract_y
_atom_site_fract_z
_atom_site_occupancy
Ac1 0.000 0.108 0.250 1
Sm1 0.000 0.118 0.750 1
Sm2 0.000 0.300 0.006 1
Sm3 0.000 0.500 0.000 1
Co1 0.000 0.402 0.250 1
```

***

[2]
This entry pairs a crystal structure of CuAu6 with its theoretical PXRD pattern. Radiation: Cu Kα (λ = 1.5418 Å). Structure: a crystal structure in Alexandria, relaxed with GGA-PBE.
No peak broadening, texture or thermal motion is included.

Peak list (8 most intense, 2θ from 10° to 90°, in order of rising 2θ)
2θ 38.9, rel. 100, hkl 1 0 7; 2θ 39.1, rel. 100, hkl 1 1 0; 2θ 56.3, rel. 34, hkl 0 2 7; 2θ 70.3, rel. 18, hkl 0 1 14; 2θ 70.6, rel. 35, hkl 2 1 7; 2θ 70.8, rel. 18, hkl 3 0 0; 2θ 83.4, rel. 12, hkl 2 0 14; 2θ 83.9, rel. 12, hkl 2 2 0

Crystal structure
```
data_CuAu6
_chemical_formula_sum 'Cu3 Au18'
_space_group_name_H-M_alt 'R -3 m'
_space_group_IT_number 166
_space_group_name_Hall '-R 3 2"'
_cell_length_a 4.6127
_cell_length_b 4.6127
_cell_length_c 19.9095
_cell_angle_alpha 90.00
_cell_angle_beta 90.00
_cell_angle_gamma 120.00
loop_
_atom_site_label
_atom_site_fract_x
_atom_site_fract_y
_atom_site_fract_z
_atom_site_occupancy
Cu1 0.0000 0.0000 0.0000 1
Au1 0.0000 0.0000 0.1396 1
Au2 0.0000 0.0000 0.2884 1
Au3 0.0000 0.0000 0.4281 1
```

***

[3]
This entry pairs a crystal structure of Sm2Pt3 with its theoretical PXRD pattern. Radiation: Cu Kα (λ = 1.5418 Å). Structure: a crystal structure in Alexandria, relaxed with GGA-PBE.
No peak broadening, texture or thermal motion is included.

Peak list (8 most intense, 2θ from 10° to 90°, in order of rising 2θ)
2θ 32.8, rel. 27, hkl 0 2 2; 2θ 34.8, rel. 100, hkl 1 5 1; 2θ 35.8, rel. 44, hkl 2 0 2; 2θ 36.4, rel. 74, hkl 3 3 1; 2θ 37.8, rel. 57, hkl 2 2 2; 2θ 38.9, rel. 50, hkl 4 2 0; 2θ 43.4, rel. 27, hkl 2 4 2; 2θ 43.9, rel. 26, hkl 3 5 1

Crystal structure
```
data_Sm2Pt3
_chemical_formula_sum 'Sm16 Pt24'
_space_group_name_H-M_alt 'F d d 2'
_space_group_IT_number 43
_space_group_name_Hall 'F 2 -2d'
_cell_length_a 9.736
_cell_length_b 15.000
_cell_length_c 5.856
_cell_angle_alpha 90.00
_cell_angle_beta 90.00
_cell_angle_gamma 90.00
loop_
_atom_site_label
_atom_site_fract_x
_atom_site_fract_y
_atom_site_fract_z
_atom_site_occupancy
Sm1 0.075 0.199 0.000 1
Pt1 0.000 0.000 0.141 1
Pt2 0.059 0.121 0.498 1
```

***

[4]
This entry pairs a crystal structure of Sn2SbBr8 with its theoretical PXRD pattern. Radiation: Cu Kα (λ = 1.5418 Å). Structure: a crystal structure in Alexandria, relaxed with GGA-PBE.
No peak broadening, texture or thermal motion is included.

Peak list (8 most intense, 2θ from 10° to 90°, in order of rising 2θ)
2θ 12.7, rel. 91, hkl 0 0 1; 2θ 15.2, rel. 96, hkl 2 0 -1; 2θ 18.5, rel. 73, hkl 0 2 0; 2θ 25.5, rel. 86, hkl 0 0 2; 2θ 29.5, rel. 100, hkl 4 0 0; 2θ 37.6, rel. 71, hkl 0 4 0; 2θ 44.7, rel. 58, hkl 5 3 -1; 2θ 46.5, rel. 86, hkl 4 0 2

Crystal structure
```
data_Sn2SbBr8
_chemical_formula_sum 'Sn4 Sb2 Br16'
_space_group_name_H-M_alt 'C 1 2/m 1'
_space_group_IT_number 12
_space_group_name_Hall '-C 2y'
_cell_length_a 13.137
_cell_length_b 9.572
_cell_length_c 7.573
_cell_angle_alpha 90.00
_cell_angle_beta 112.49
_cell_angle_gamma 90.00
loop_
_atom_site_label
_atom_site_fract_x
_atom_site_fract_y
_atom_site_fract_z
_atom_site_occupancy
Sn1 0.155 0.000 0.207 1
Sb1 0.000 0.500 0.000 1
Br1 0.076 0.000 0.825 1
Br2 0.122 0.500 0.773 1
Br3 0.140 0.301 0.238 1
```

***

[5]
This entry pairs a crystal structure of Cs4Pa3O10 with its theoretical PXRD pattern. Radiation: Cu Kα (λ = 1.5418 Å). Structure: a crystal structure in Alexandria, relaxed with GGA-PBE.
No peak broadening, texture or thermal motion is included.

Peak list (8 most intense, 2θ from 10° to 90°, in order of rising 2θ)
2θ 20.1, rel. 12, hkl 1 0 1; 2θ 27.5, rel. 100, hkl 1 0 7; 2θ 28.3, rel. 52, hkl 1 1 0; 2θ 38.0, rel. 11, hkl 0 0 14; 2θ 40.4, rel. 28, hkl 2 0 0; 2θ 48.1, rel. 17, hkl 1 1 14; 2θ 49.5, rel. 41, hkl 2 1 7; 2θ 56.7, rel. 16, hkl 2 0 14

Crystal structure
```
data_Cs4Pa3O10
_chemical_formula_sum 'Cs8 Pa6 O20'
_space_group_name_H-M_alt 'I 4/m m m'
_space_group_IT_number 139
_space_group_name_Hall '-I 4 2'
_cell_length_a 4.466
_cell_length_b 4.466
_cell_length_c 33.116
_cell_angle_alpha 90.00
_cell_angle_beta 90.00
_cell_angle_gamma 90.00
loop_
_atom_site_label
_atom_site_fract_x
_atom_site_fract_y
_atom_site_fract_z
_atom_site_occupancy
Cs1 0.000 0.000 0.068 1
Cs2 0.000 0.000 0.207 1
Pa1 0.000 0.000 0.365 1
Pa2 0.000 0.000 0.500 1
O1 0.000 0.000 0.304 1
O2 0.000 0.000 0.434 1
O3 0.000 0.500 0.000 1
O4 0.000 0.500 0.135 1
```

***

[6]
This entry pairs a crystal structure of MgRh2Br with its theoretical PXRD pattern. Radiation: Cu Kα (λ = 1.5418 Å). Structure: a crystal structure in Alexandria, relaxed with GGA-PBE.
No peak broadening, texture or thermal motion is included.

Peak list (8 most intense, 2θ from 10° to 90°, in order of rising 2θ)
2θ 12.7, rel. 91, hkl 0 0 1; 2θ 25.7, rel. 29, hkl 0 0 2; 2θ 28.7, rel. 36, hkl 1 0 -1; 2θ 37.5, rel. 100, hkl 0 1 2; 2θ 39.7, rel. 100, hkl 1 1 -1; 2θ 43.2, rel. 55, hkl 1 0 -3; 2θ 44.0, rel. 55, hkl 1 1 1; 2θ 70.9, rel. 30, hkl 2 1 1

Crystal structure
```
data_MgRh2Br
_chemical_formula_sum 'Mg1 Rh2 Br1'
_space_group_name_H-M_alt 'P 1 m 1'
_space_group_IT_number 6
_space_group_name_Hall 'P -2y'
_cell_length_a 3.194
_cell_length_b 3.315
_cell_length_c 7.125
_cell_angle_alpha 90.00
_cell_angle_beta 102.88
_cell_angle_gamma 90.00
loop_
_atom_site_label
_atom_site_fract_x
_atom_site_fract_y
_atom_site_fract_z
_atom_site_occupancy
Mg1 0.000 0.000 0.000 1
Rh1 0.204 0.000 0.410 1
Rh2 0.619 0.500 0.238 1
Br1 0.365 0.500 0.734 1
```

***

[7]
This entry pairs a crystal structure of K3Li2Ta6P3O24 with its theoretical PXRD pattern. Radiation: Cu Kα (λ = 1.5418 Å). Structure: a crystal structure in Alexandria, relaxed with GGA-PBE.
No peak broadening, texture or thermal motion is included.

Peak list (8 most intense, 2θ from 10° to 90°, in order of rising 2θ)
2θ 11.2, rel. 40, hkl 1 0 1; 2θ 13.3, rel. 48, hkl 1 1 0; 2θ 18.1, rel. 36, hkl 0 1 2; 2θ 24.7, rel. 37, hkl 0 0 3; 2θ 26.7, rel. 100, hkl 2 2 0; 2θ 28.1, rel. 29, hkl 1 1 3; 2θ 29.0, rel. 23, hkl 1 3 1; 2θ 36.7, rel. 40, hkl 2 2 3

Crystal structure
```
data_K3Li2Ta6P3O24
_chemical_formula_sum 'K9 Li6 Ta18 P9 O72'
_space_group_name_H-M_alt 'R 3'
_space_group_IT_number 146
_space_group_name_Hall 'R 3'
_cell_length_a 13.3504
_cell_length_b 13.3504
_cell_length_c 10.8124
_cell_angle_alpha 90.00
_cell_angle_beta 90.00
_cell_angle_gamma 120.00
loop_
_atom_site_label
_atom_site_fract_x
_atom_site_fract_y
_atom_site_fract_z
_atom_site_occupancy
K1 0.0524 0.7178 0.0000 1
Li1 0.0000 0.0000 0.0273 1
Li2 0.0000 0.0000 0.3076 1
Ta1 0.0196 0.1708 0.4929 1
Ta2 0.1708 0.0195 0.8419 1
P1 0.0002 0.2176 0.1673 1
O1 0.0000 0.1548 0.6674 1
O2 0.0000 0.4712 0.1673 1
O3 0.0039 0.4420 0.5248 1
O4 0.0103 0.8835 0.8641 1
O5 0.0203 0.1598 0.2820 1
O6 0.1090 0.3374 0.1432 1
O7 0.1268 0.1165 0.4706 1
O8 0.1597 0.0200 0.0526 1
```

***

[8]
This entry pairs a crystal structure of GaSbCl6 with its theoretical PXRD pattern. Radiation: Cu Kα (λ = 1.5418 Å). Structure: a crystal structure in Alexandria, relaxed with GGA-PBE.
No peak broadening, texture or thermal motion is included.

Peak list (8 most intense, 2θ from 10° to 90°, in order of rising 2θ)
2θ 13.8, rel. 100, hkl 1 0 -2; 2θ 16.5, rel. 33, hkl 2 0 0; 2θ 17.0, rel. 32, hkl 1 0 2; 2θ 20.0, rel. 27, hkl 2 1 0; 2θ 20.5, rel. 20, hkl 1 1 2; 2θ 22.6, rel. 17, hkl 0 2 0; 2θ 26.6, rel. 22, hkl 1 2 -2; 2θ 30.2, rel. 16, hkl 0 2 3

Crystal structure
```
data_GaSbCl6
_chemical_formula_sum 'Ga4 Sb4 Cl24'
_space_group_name_H-M_alt 'P 1 21/c 1'
_space_group_IT_number 14
_space_group_name_Hall '-P 2ybc'
_cell_length_a 11.030
_cell_length_b 7.853
_cell_length_c 13.840
_cell_angle_alpha 90.00
_cell_angle_beta 103.09
_cell_angle_gamma 90.00
loop_
_atom_site_label
_atom_site_fract_x
_atom_site_fract_y
_atom_site_fract_z
_atom_site_occupancy
Ga1 0.148 0.245 0.074 1
Sb1 0.244 0.744 0.121 1
Cl1 0.002 0.105 0.120 1
Cl2 0.107 0.113 0.437 1
Cl3 0.229 0.074 0.700 1
Cl4 0.305 0.064 0.065 1
Cl5 0.318 0.673 0.787 1
Cl6 0.433 0.663 0.084 1
```

***

[9]
This entry pairs a crystal structure of Na3Sn4Pd8 with its theoretical PXRD pattern. Radiation: Cu Kα (λ = 1.5418 Å). Structure: a crystal structure in Alexandria, relaxed with GGA-PBE.
No peak broadening, texture or thermal motion is included.

Peak list (8 most intense, 2θ from 10° to 90°, in order of rising 2θ)
2θ 13.5, rel. 17, hkl 2 0 0; 2θ 23.5, rel. 26, hkl 2 2 2; 2θ 35.6, rel. 26, hkl 3 3 3; 2θ 38.9, rel. 100, hkl 4 4 0; 2θ 40.7, rel. 22, hkl 5 3 1; 2θ 45.4, rel. 15, hkl 5 3 3; 2θ 45.9, rel. 32, hkl 6 2 2; 2θ 70.4, rel. 24, hkl 8 4 4

Crystal structure
```
data_Na3Sn4Pd8
_chemical_formula_sum 'Na24 Sn32 Pd64'
_space_group_name_H-M_alt 'F m -3 m'
_space_group_IT_number 225
_space_group_name_Hall '-F 4 2 3'
_cell_length_a 13.109
_cell_length_b 13.109
_cell_length_c 13.109
_cell_angle_alpha 90.00
_cell_angle_beta 90.00
_cell_angle_gamma 90.00
loop_
_atom_site_label
_atom_site_fract_x
_atom_site_fract_y
_atom_site_fract_z
_atom_site_occupancy
Na1 0.000 0.000 0.227 1
Sn1 0.000 0.000 0.000 1
Sn2 0.000 0.000 0.500 1
Sn3 0.000 0.250 0.250 1
Pd1 0.119 0.119 0.381 1
Pd2 0.168 0.168 0.168 1
```

***

[10]
This entry pairs a crystal structure of CdSO with its theoretical PXRD pattern. Radiation: Cu Kα (λ = 1.5418 Å). Structure: a crystal structure in Alexandria, relaxed with GGA-PBE.
No peak broadening, texture or thermal motion is included.

Peak list (8 most intense, 2θ from 10° to 90°, in order of rising 2θ)
2θ 26.8, rel. 59, hkl 1 0 -2; 2θ 27.7, rel. 48, hkl 0 1 1; 2θ 29.9, rel. 73, hkl 3 0 0; 2θ 30.1, rel. 100, hkl 1 1 1; 2θ 33.2, rel. 45, hkl 2 1 -1; 2θ 35.4, rel. 52, hkl 2 0 2; 2θ 39.8, rel. 35, hkl 3 1 -1; 2θ 47.2, rel. 31, hkl 1 1 -3

Crystal structure
```
data_CdSO
_chemical_formula_sum 'Cd4 S4 O4'
_space_group_name_H-M_alt 'P 1 21/c 1'
_space_group_IT_number 14
_space_group_name_Hall '-P 2ybc'
_cell_length_a 9.055
_cell_length_b 3.657
_cell_length_c 6.843
_cell_angle_alpha 90.00
_cell_angle_beta 98.00
_cell_angle_gamma 90.00
loop_
_atom_site_label
_atom_site_fract_x
_atom_site_fract_y
_atom_site_fract_z
_atom_site_occupancy
Cd1 0.139 0.024 0.365 1
S1 0.463 0.199 0.074 1
O1 0.134 0.521 0.184 1
```

***

[11]
This entry pairs a crystal structure of Ba3NaSr7 with its theoretical PXRD pattern. Radiation: Cu Kα (λ = 1.5418 Å). Structure: a crystal structure in Alexandria, relaxed with GGA-PBE.
No peak broadening, texture or thermal motion is included.

Peak list (8 most intense, 2θ from 10° to 90°, in order of rising 2θ)
2θ 22.4, rel. 57, hkl 0 2 5; 2θ 23.2, rel. 41, hkl 1 1 2; 2θ 25.2, rel. 100, hkl 0 6 4; 2θ 26.0, rel. 39, hkl 0 8 2; 2θ 26.3, rel. 42, hkl 1 5 0; 2θ 26.6, rel. 64, hkl 0 2 6; 2θ 27.7, rel. 72, hkl 1 1 4; 2θ 30.6, rel. 60, hkl 1 7 1

Crystal structure
```
data_Ba3NaSr7
_chemical_formula_sum 'Ba12 Na4 Sr28'
_space_group_name_H-M_alt 'C m c m'
_space_group_IT_number 63
_space_group_name_Hall '-C 2c 2'
_cell_length_a 4.175
_cell_length_b 29.052
_cell_length_c 20.667
_cell_angle_alpha 90.00
_cell_angle_beta 90.00
_cell_angle_gamma 90.00
loop_
_atom_site_label
_atom_site_fract_x
_atom_site_fract_y
_atom_site_fract_z
_atom_site_occupancy
Ba1 0.000 0.077 0.032 1
Ba2 0.000 0.246 0.750 1
Na1 0.000 0.110 0.750 1
Sr1 0.000 0.293 0.572 1
Sr2 0.000 0.336 0.110 1
Sr3 0.000 0.393 0.750 1
Sr4 0.000 0.478 0.148 1
```